(1)
Diffraction record for PuZn17Cd. The powder diffractogram is calculated, not measured: it uses DFT lattice parameters and positions (GGA-PBE) and Cu Kα, 1.54184 Å.

Largest 6 diffraction maxima, sorted by position, 2θ = 10–80°:
Position (°2θ)  Rel. int.
34.57  30
35.40  29
40.18  100
40.46  15
40.89  25
45.19  22

Crystal structure
```
PuZn17Cd
1.0
4.494 2.594 4.459
-4.494 2.594 4.459
0.000 -5.189 4.459
Pu Zn Cd
1 17 1
direct
0.000 0.000 0.000 Pu
0.027 0.343 0.636 Zn
0.027 0.636 0.343 Zn
0.189 0.688 0.688 Zn
0.239 0.239 0.239 Zn
0.326 0.326 0.838 Zn
0.326 0.838 0.326 Zn
0.343 0.027 0.636 Zn
0.343 0.636 0.027 Zn
0.439 0.439 0.439 Zn
0.494 0.992 0.992 Zn
0.636 0.027 0.343 Zn
0.636 0.343 0.027 Zn
0.688 0.189 0.688 Zn
0.688 0.688 0.189 Zn
0.838 0.326 0.326 Zn
0.992 0.494 0.992 Zn
0.992 0.992 0.494 Zn
0.737 0.737 0.737 Cd
```


(2)
Diffraction record for Er4SiOs. The powder diffractogram is calculated, not measured: it uses DFT lattice parameters and positions (GGA-PBE) and Cu Kα, 1.54184 Å.

Largest 6 diffraction maxima, sorted by position, 2θ = 10–80°:
Position (°2θ)  Rel. int.
11.25  35
32.64  100
32.74  38
35.69  56
36.23  66
36.27  48

Crystal structure
```
Er4SiOs
1.0
5.789 0.000 0.000
0.000 6.380 0.000
-2.720 0.000 7.867
Er Si Os
8 2 2
direct
0.171 0.250 0.091 Er
0.264 0.501 0.755 Er
0.264 0.999 0.755 Er
0.301 0.750 0.378 Er
0.699 0.250 0.622 Er
0.736 0.001 0.245 Er
0.736 0.499 0.245 Er
0.829 0.750 0.909 Er
0.171 0.250 0.444 Si
0.829 0.750 0.556 Si
0.344 0.750 0.054 Os
0.656 0.250 0.946 Os
```


(3)
Diffraction record for CoRu7. The powder diffractogram is calculated, not measured: it uses DFT lattice parameters and positions (GGA-PBE) and Cu Kα, 1.54184 Å.

Largest 6 diffraction maxima, sorted by position, 2θ = 10–80°:
Position (°2θ)  Rel. int.
20.30  2
23.48  1
39.45  1
41.28  100
48.03  48
70.28  30

Crystal structure
```
CoRu7
1.0
0.000 3.788 3.788
3.788 0.000 3.788
3.788 3.788 0.000
Co Ru
1 7
direct
0.000 0.000 0.000 Co
0.000 0.000 0.500 Ru
0.000 0.500 0.000 Ru
0.000 0.500 0.500 Ru
0.500 0.000 0.000 Ru
0.500 0.000 0.500 Ru
0.500 0.500 0.000 Ru
0.500 0.500 0.500 Ru
```


(4)
Diffraction record for Bi2AuO5. The powder diffractogram is calculated, not measured: it uses DFT lattice parameters and positions (GGA-PBE) and Cu Kα, 1.54184 Å.

Largest 6 diffraction maxima, sorted by position, 2θ = 10–80°:
Position (°2θ)  Rel. int.
27.41  100
32.14  18
32.39  56
52.21  39
54.40  15
59.05  21

Crystal structure
```
Bi2AuO5
1.0
8.740 0.000 0.000
0.000 8.740 0.000
0.000 0.000 5.876
Bi Au O
8 4 20
direct
0.102 0.602 0.250 Bi
0.102 0.898 0.750 Bi
0.398 0.602 0.750 Bi
0.398 0.898 0.250 Bi
0.602 0.102 0.750 Bi
0.602 0.398 0.250 Bi
0.898 0.102 0.250 Bi
0.898 0.398 0.750 Bi
0.250 0.250 0.096 Au
0.250 0.250 0.596 Au
0.750 0.750 0.404 Au
0.750 0.750 0.904 Au
0.035 0.168 0.610 O
0.035 0.332 0.110 O
0.168 0.035 0.110 O
0.168 0.465 0.610 O
0.250 0.750 0.000 O
0.250 0.750 0.500 O
0.332 0.035 0.610 O
0.332 0.465 0.110 O
0.465 0.168 0.110 O
0.465 0.332 0.610 O
0.535 0.668 0.390 O
0.535 0.832 0.890 O
0.668 0.535 0.890 O
0.668 0.965 0.390 O
0.750 0.250 0.000 O
0.750 0.250 0.500 O
0.832 0.535 0.390 O
0.832 0.965 0.890 O
0.965 0.668 0.890 O
0.965 0.832 0.390 O
```


(5)
Diffraction record for Sm3Tl3Hg2. The powder diffractogram is calculated, not measured: it uses DFT lattice parameters and positions (GGA-PBE) and Cu Kα, 1.54184 Å.

Largest 6 diffraction maxima, sorted by position, 2θ = 10–80°:
Position (°2θ)  Rel. int.
32.73  100
34.34  22
34.79  21
49.69  16
60.49  18
61.07  17

Crystal structure
```
Sm3Tl3Hg2
1.0
5.158 0.000 0.000
0.000 5.222 0.000
0.000 0.000 8.210
Sm Tl Hg
3 3 2
direct
0.000 0.000 0.000 Sm
0.000 0.000 0.500 Sm
0.500 0.500 0.000 Sm
0.500 0.000 0.249 Tl
0.500 0.000 0.751 Tl
0.500 0.500 0.500 Tl
0.000 0.500 0.245 Hg
0.000 0.500 0.755 Hg
```


(6)
Diffraction record for NaGa7Cu5. The powder diffractogram is calculated, not measured: it uses DFT lattice parameters and positions (GGA-PBE) and Cu Kα, 1.54184 Å.

Largest 6 diffraction maxima, sorted by position, 2θ = 10–80°:
Position (°2θ)  Rel. int.
34.76  31
40.35  45
40.67  65
41.61  24
45.66  100
46.52  38

Crystal structure
```
NaGa7Cu5
1.0
-2.579 4.474 4.340
2.579 -4.474 4.340
2.579 4.474 -4.340
Na Ga Cu
1 7 5
direct
0.000 0.000 0.000 Na
0.190 0.494 0.696 Ga
0.233 0.733 0.500 Ga
0.354 0.010 0.344 Ga
0.355 0.355 0.000 Ga
0.658 0.658 0.000 Ga
0.666 0.010 0.656 Ga
0.798 0.494 0.304 Ga
0.002 0.503 0.004 Cu
0.002 0.998 0.499 Cu
0.500 0.503 0.501 Cu
0.500 0.998 0.996 Cu
0.769 0.269 0.500 Cu
```


(7)
Diffraction record for Er2Tm2Sc5. The powder diffractogram is calculated, not measured: it uses DFT lattice parameters and positions (GGA-PBE) and Cu Kα, 1.54184 Å.

Largest 6 diffraction maxima, sorted by position, 2θ = 10–80°:
Position (°2θ)  Rel. int.
16.82  44
20.60  47
30.86  67
33.66  37
33.87  100
35.02  82

Crystal structure
```
Er2Tm2Sc5
1.0
8.219 -1.727 0.000
8.219 1.727 0.000
-2.096 0.000 8.623
Er Tm Sc
2 2 5
direct
0.188 0.188 0.263 Er
0.812 0.812 0.737 Er
0.481 0.481 0.677 Tm
0.519 0.519 0.323 Tm
0.000 0.000 0.000 Sc
0.140 0.140 0.609 Sc
0.337 0.337 0.069 Sc
0.663 0.663 0.931 Sc
0.860 0.860 0.391 Sc
```


(8)
Diffraction record for Ag2Pb. The powder diffractogram is calculated, not measured: it uses DFT lattice parameters and positions (GGA-PBE) and Cu Kα, 1.54184 Å.

Largest 6 diffraction maxima, sorted by position, 2θ = 10–80°:
Position (°2θ)  Rel. int.
30.92  46
34.41  70
36.76  100
37.21  58
57.26  31
62.87  29

Crystal structure
```
Ag2Pb
1.0
5.785 0.000 0.000
-2.892 5.010 0.000
0.000 0.000 9.156
Ag Pb
8 4
direct
0.000 0.000 0.000 Ag
0.000 0.000 0.500 Ag
0.169 0.338 0.250 Ag
0.169 0.831 0.250 Ag
0.338 0.169 0.750 Ag
0.662 0.831 0.250 Ag
0.831 0.169 0.750 Ag
0.831 0.662 0.750 Ag
0.333 0.667 0.556 Pb
0.333 0.667 0.944 Pb
0.667 0.333 0.056 Pb
0.667 0.333 0.444 Pb
```


(9)
Diffraction record for K3Np6F20. The powder diffractogram is calculated, not measured: it uses DFT lattice parameters and positions (GGA-PBE) and Cu Kα, 1.54184 Å.

Largest 6 diffraction maxima, sorted by position, 2θ = 10–80°:
Position (°2θ)  Rel. int.
14.45  31
20.48  18
25.16  100
29.13  47
41.66  49
49.29  48

Crystal structure
```
K3Np6F20
1.0
0.000 6.131 6.131
6.131 0.000 6.131
6.131 6.131 0.000
K Np F
3 6 20
direct
0.000 0.000 0.000 K
0.250 0.250 0.250 K
0.750 0.750 0.750 K
0.271 0.271 0.729 Np
0.271 0.729 0.271 Np
0.271 0.729 0.729 Np
0.729 0.271 0.271 Np
0.729 0.271 0.729 Np
0.729 0.729 0.271 Np
0.000 0.000 0.322 F
0.000 0.000 0.678 F
0.000 0.322 0.000 F
0.000 0.322 0.678 F
0.000 0.678 0.000 F
0.000 0.678 0.322 F
0.140 0.620 0.620 F
0.322 0.000 0.000 F
0.322 0.000 0.678 F
0.322 0.678 0.000 F
0.380 0.380 0.380 F
0.380 0.380 0.860 F
0.380 0.860 0.380 F
0.620 0.140 0.620 F
0.620 0.620 0.140 F
0.620 0.620 0.620 F
0.678 0.000 0.000 F
0.678 0.000 0.322 F
0.678 0.322 0.000 F
0.860 0.380 0.380 F
```